Starting from a structure optimized by DFT (GGA-PBE), the X-ray diffraction stick pattern of SmYZn2Si2 was computed for Cu Kα, 1.54184 Å.

Atomic structure:
a = 4.1524 Å, b = 4.1524 Å, c = 16.1825 Å
α = 90.00°, β = 90.00°, γ = 120.00°
Atoms (fractional coordinates):
Sm  0.0000  0.0000  0.2500
Sm  0.0000  0.0000  0.7500
Y  0.0000  0.0000  0.0000
Y  0.0000  0.0000  0.5000
Zn  0.3333  0.6667  0.1313
Zn  0.3333  0.6667  0.3687
Zn  0.6667  0.3333  0.6313
Zn  0.6667  0.3333  0.8687
Si  0.3333  0.6667  0.6184
Si  0.3333  0.6667  0.8816
Si  0.6667  0.3333  0.1184
Si  0.6667  0.3333  0.3816

Top 12 peaks for 10° ≤ 2θ ≤ 80°, in order of falling intensity:
2θ 33.3, I = 100.0, (1 0 4); 2θ 43.6, I = 39.5, (1 1 0); 2θ 64.3, I = 23.0, (1 1 8); 2θ 56.0, I = 22.5, (2 0 4); 2θ 73.5, I = 19.3, (2 1 4); 2θ 24.8, I = 18.1, (1 0 0); 2θ 44.8, I = 11.6, (0 0 8); 2θ 75.3, I = 8.5, (1 0 12); 2θ 10.9, I = 7.6, (0 0 2); 2θ 25.4, I = 5.6, (1 0 1); 2θ 51.9, I = 5.3, (1 0 8); 2θ 27.1, I = 4.4, (1 0 2)